No. 1
Theoretical powder diffractogram of K4Ag3Br10 for Cu Kα (weighted mean of Kα1 and Kα2), from the PBE geometry in Alexandria.
Peak positions follow from Bragg's law for the DFT cell and can differ from measured ones.

The 10 most intense peaks (5 to 70 degrees two-theta), most intense first:
| index | 2θ/deg | I (rel.) |
| --- | --- | --- |
| 2 0 0 | 33.21 | 1000 |
| 1 0 1 | 16.59 | 703 |
| 2 0 14 | 47.44 | 614 |
| 0 0 14 | 32.89 | 446 |
| 1 1 8 | 30.00 | 369 |
| 2 2 0 | 47.67 | 353 |
| 2 2 14 | 59.13 | 310 |
| 0 0 6 | 13.94 | 292 |
| 2 1 1 | 37.34 | 188 |
| 1 0 13 | 34.82 | 188 |

Structural model:
a = 5.396 Å, b = 5.396 Å, c = 38.124 Å
α = 90.00°, β = 90.00°, γ = 90.00°
Space group I4/mmm (No. 139)
One atom of each set of equivalent atoms:
K 0.000 0.000 0.069
K 0.000 0.000 0.200
Ag 0.000 0.000 0.357
Ag 0.000 0.000 0.500
Br 0.000 0.000 0.286
Br 0.000 0.000 0.430
Br 0.000 0.500 0.000
Br 0.000 0.500 0.139


No. 2
Theoretical powder diffractogram of Dy2Ho12Tm5 for Cu Kα (weighted mean of Kα1 and Kα2), from the PBE geometry in Alexandria.
Peak positions follow from Bragg's law for the DFT cell and can differ from measured ones.

The 10 most intense peaks (5 to 70 degrees two-theta), most intense first:
| index | 2θ/deg | I (rel.) |
| --- | --- | --- |
| 1 0 -3 | 32.20 | 1000 |
| 0 3 3 | 31.48 | 920 |
| 1 3 0 | 33.28 | 745 |
| 1 1 4 | 35.54 | 387 |
| 1 -2 1 | 28.22 | 340 |
| 2 1 1 | 30.66 | 338 |
| 1 -3 0 | 33.04 | 319 |
| 1 0 3 | 29.69 | 258 |
| 2 1 2 | 32.71 | 204 |
| 1 -1 3 | 34.55 | 173 |

Structural model:
a = 6.072 Å, b = 9.840 Å, c = 10.754 Å
α = 67.06°, β = 84.33°, γ = 88.25°
Space group P-1 (No. 2)
One atom of each set of equivalent atoms:
Dy 0.227 0.448 0.055
Ho 0.043 0.150 0.353
Ho 0.096 0.827 0.994
Ho 0.114 0.164 0.674
Ho 0.383 0.676 0.466
Ho 0.411 0.692 0.756
Ho 0.427 0.319 0.836
Tm 0.076 0.495 0.338
Tm 0.398 0.017 0.161
Tm 0.500 0.000 0.500


No. 3
Theoretical powder diffractogram of Pm2SmHo2 for Cu Kα (weighted mean of Kα1 and Kα2), from the PBE geometry in Alexandria.
Peak positions follow from Bragg's law for the DFT cell and can differ from measured ones.

The 10 most intense peaks (5 to 70 degrees two-theta), most intense first:
| index | 2θ/deg | I (rel.) |
| --- | --- | --- |
| 1 1 -2 | 31.18 | 1000 |
| 1 1 3 | 34.13 | 714 |
| 0 0 5 | 30.54 | 449 |
| 3 1 5 | 60.36 | 390 |
| 3 1 0 | 50.71 | 331 |
| 2 0 1 | 29.28 | 301 |
| 1 1 -7 | 52.71 | 249 |
| 2 0 -4 | 37.91 | 188 |
| 4 0 -2 | 60.74 | 150 |
| 1 1 8 | 58.49 | 136 |

Structural model:
a = 6.237 Å, b = 3.601 Å, c = 14.636 Å
α = 90.00°, β = 90.06°, γ = 90.00°
Space group C2/m (No. 12)
One atom of each set of equivalent atoms:
Pm 0.168 0.000 0.397
Sm 0.000 0.500 0.000
Ho 0.166 0.000 0.802


No. 4
Theoretical powder diffractogram of AcPr8Nd3 for Cu Kα (weighted mean of Kα1 and Kα2), from the PBE geometry in Alexandria.
Peak positions follow from Bragg's law for the DFT cell and can differ from measured ones.

The 10 most intense peaks (5 to 70 degrees two-theta), most intense first:
| index | 2θ/deg | I (rel.) |
| --- | --- | --- |
| 1 1 4 | 28.43 | 1000 |
| 1 2 3 | 29.94 | 764 |
| 1 2 1 | 25.19 | 417 |
| 1 3 2 | 35.61 | 252 |
| 1 1 6 | 38.43 | 250 |
| 2 2 2 | 36.32 | 231 |
| 2 0 2 | 29.80 | 205 |
| 3 3 4 | 58.05 | 199 |
| 3 1 2 | 44.68 | 179 |
| 0 3 1 | 31.17 | 173 |

Structural model:
a = 6.486 Å, b = 8.755 Å, c = 15.731 Å
α = 90.00°, β = 90.00°, γ = 90.00°
Space group I222 (No. 23)
One atom of each set of equivalent atoms:
Ac 0.000 0.000 0.000
Pr 0.104 0.327 0.601
Pr 0.164 0.141 0.778
Nd 0.000 0.000 0.500
Nd 0.000 0.500 0.112


No. 5
Theoretical powder diffractogram of Sr2Ga2Ge3 for Cu Kα (weighted mean of Kα1 and Kα2), from the PBE geometry in Alexandria.
Peak positions follow from Bragg's law for the DFT cell and can differ from measured ones.

The 10 most intense peaks (5 to 70 degrees two-theta), most intense first:
| index | 2θ/deg | I (rel.) |
| --- | --- | --- |
| 1 5 1 | 32.01 | 1000 |
| 1 1 2 | 31.05 | 935 |
| 2 0 0 | 36.93 | 589 |
| 0 4 3 | 41.68 | 372 |
| 2 4 3 | 56.89 | 294 |
| 0 8 0 | 37.18 | 246 |
| 0 6 1 | 30.32 | 219 |
| 1 3 3 | 44.04 | 195 |
| 1 3 2 | 33.76 | 189 |
| 2 8 0 | 53.41 | 170 |

Structural model:
a = 4.868 Å, b = 19.345 Å, c = 7.271 Å
α = 90.00°, β = 90.00°, γ = 90.00°
Space group Cmcm (No. 63)
One atom of each set of equivalent atoms:
Sr 0.000 0.050 0.250
Sr 0.000 0.155 0.750
Ga 0.000 0.309 0.556
Ge 0.000 0.219 0.250
Ge 0.000 0.439 0.073


No. 6
Theoretical powder diffractogram of Hf3Sc2Ge4 for Cu Kα (weighted mean of Kα1 and Kα2), from the PBE geometry in Alexandria.
Peak positions follow from Bragg's law for the DFT cell and can differ from measured ones.

The 10 most intense peaks (5 to 70 degrees two-theta), most intense first:
| index | 2θ/deg | I (rel.) |
| --- | --- | --- |
| 1 1 0 | 17.81 | 1000 |
| 1 1 2 | 36.31 | 851 |
| 3 0 -2 | 39.57 | 830 |
| 1 1 -3 | 40.49 | 800 |
| 2 2 -1 | 35.15 | 779 |
| 2 2 0 | 36.06 | 720 |
| 1 2 -2 | 35.73 | 719 |
| 1 3 -1 | 40.23 | 692 |
| 3 1 -2 | 41.53 | 521 |
| 1 0 0 | 12.96 | 446 |

Structural model:
a = 7.286 Å, b = 7.277 Å, c = 7.022 Å
α = 90.00°, β = 110.30°, γ = 90.00°
Space group P2_1/c (No. 14)
One atom of each set of equivalent atoms:
Hf 0.000 0.000 0.000
Hf 0.250 0.177 0.756
Sc 0.314 0.673 0.941
Ge 0.022 0.636 0.140
Ge 0.418 0.029 0.157


No. 7
Theoretical powder diffractogram of CeEr5Sc for Cu Kα (weighted mean of Kα1 and Kα2), from the PBE geometry in Alexandria.
Peak positions follow from Bragg's law for the DFT cell and can differ from measured ones.

The 10 most intense peaks (5 to 70 degrees two-theta), most intense first:
| index | 2θ/deg | I (rel.) |
| --- | --- | --- |
| 0 2 2 | 33.38 | 1000 |
| 2 2 0 | 32.68 | 766 |
| 2 0 -2 | 32.97 | 506 |
| 2 2 -1 | 32.37 | 457 |
| 0 2 1 | 22.81 | 334 |
| 2 0 1 | 33.89 | 314 |
| 0 4 0 | 36.58 | 305 |
| 2 4 -2 | 50.06 | 217 |
| 1 3 -1 | 31.90 | 213 |
| 2 2 -4 | 59.59 | 191 |

Structural model:
a = 6.885 Å, b = 9.825 Å, c = 6.684 Å
α = 90.00°, β = 106.49°, γ = 90.00°
Space group C2/m (No. 12)
One atom of each set of equivalent atoms:
Ce 0.000 0.000 0.000
Er 0.000 0.500 0.000
Er 0.191 0.280 0.730
Sc 0.000 0.000 0.500


No. 8
Theoretical powder diffractogram of Sm7Hg2Au2 for Cu Kα (weighted mean of Kα1 and Kα2), from the PBE geometry in Alexandria.
Peak positions follow from Bragg's law for the DFT cell and can differ from measured ones.

The 10 most intense peaks (5 to 70 degrees two-theta), most intense first:
| index | 2θ/deg | I (rel.) |
| --- | --- | --- |
| 2 2 2 | 36.30 | 1000 |
| 0 4 0 | 31.77 | 551 |
| 2 0 1 | 24.89 | 546 |
| 1 3 2 | 35.62 | 514 |
| 0 2 1 | 19.73 | 365 |
| 1 1 2 | 27.40 | 327 |
| 3 3 1 | 42.84 | 267 |
| 4 4 0 | 55.71 | 214 |
| 0 0 4 | 48.68 | 204 |
| 0 4 4 | 59.31 | 171 |

Structural model:
a = 8.145 Å, b = 11.265 Å, c = 7.482 Å
α = 90.00°, β = 90.00°, γ = 90.00°
Space group Cmmm (No. 65)
One atom of each set of equivalent atoms:
Sm 0.000 0.000 0.000
Sm 0.000 0.500 0.258
Sm 0.250 0.250 0.269
Hg 0.177 0.000 0.500
Au 0.000 0.294 0.000